(1)
Structure and computed powder diffractogram of PrEr7Mg4 (a crystal structure in Alexandria, relaxed with GGA-PBE; Cu Kα (weighted mean of Kα1 and Kα2)).
Intensities are scaled so that the largest is 100.

Principal peaks in the range 2θ = 10–90°, by intensity:
2θ = 31.39°, d = 2.850 Å, rel. 100; 2θ = 22.28°, d = 3.989 Å, rel. 94; 2θ = 34.09°, d = 2.630 Å, rel. 80; 2θ = 29.58°, d = 3.020 Å, rel. 72; 2θ = 27.71°, d = 3.219 Å, rel. 72; 2θ = 28.85°, d = 3.094 Å, rel. 64; 2θ = 28.67°, d = 3.114 Å, rel. 50; 2θ = 42.36°, d = 2.134 Å, rel. 46; 2θ = 43.03°, d = 2.102 Å, rel. 37; 2θ = 18.81°, d = 4.718 Å, rel. 24; 2θ = 32.05°, d = 2.793 Å, rel. 22; 2θ = 51.58°, d = 1.772 Å, rel. 18

Structural model:
Unit cell a=7.3073 b=7.3073 c=11.3068 alpha=120.49 beta=120.49 gamma=45.91
Sites, in units of the cell vectors:
Pr 0.0000 0.0000 0.0000
Er 0.0561 0.0561 0.3847
Er 0.2202 0.2202 0.8815
Er 0.3296 0.3296 0.3921
Er 0.5000 0.5000 0.0000
Er 0.6704 0.6704 0.6079
Er 0.7798 0.7798 0.1185
Er 0.9439 0.9439 0.6153
Mg 0.3119 0.3119 0.6663
Mg 0.4342 0.4342 0.2163
Mg 0.5658 0.5658 0.7837
Mg 0.6881 0.6881 0.3337



(2)
Structure and computed powder diffractogram of Er3MgPt12 (a crystal structure in Alexandria, relaxed with GGA-PBE; Cu Kα (weighted mean of Kα1 and Kα2)).
Intensities are scaled so that the largest is 100.

Principal peaks in the range 2θ = 10–90°, by intensity:
2θ = 38.34°, d = 2.348 Å, rel. 100; 2θ = 44.44°, d = 2.039 Å, rel. 34; 2θ = 77.74°, d = 1.229 Å, rel. 26; 2θ = 64.95°, d = 1.436 Å, rel. 21; 2θ = 44.82°, d = 2.022 Å, rel. 16; 2θ = 78.28°, d = 1.221 Å, rel. 12; 2θ = 64.65°, d = 1.442 Å, rel. 11; 2θ = 82.10°, d = 1.174 Å, rel. 11; 2θ = 21.80°, d = 4.078 Å, rel. 2; 2θ = 35.30°, d = 2.543 Å, rel. 1; 2θ = 31.15°, d = 2.872 Å, rel. 1; 2θ = 72.09°, d = 1.310 Å, rel. 1

Structural model:
Unit cell a=4.0775 b=4.0775 c=16.1787 alpha=90.00 beta=90.00 gamma=90.00
Sites, in units of the cell vectors:
Er 0.0000 0.0000 0.0000
Er 0.0000 0.0000 0.2547
Er 0.0000 0.0000 0.7453
Mg 0.0000 0.0000 0.5000
Pt 0.0000 0.5000 0.1273
Pt 0.0000 0.5000 0.3822
Pt 0.0000 0.5000 0.6178
Pt 0.0000 0.5000 0.8727
Pt 0.5000 0.0000 0.1273
Pt 0.5000 0.0000 0.3822
Pt 0.5000 0.0000 0.6178
Pt 0.5000 0.0000 0.8727
Pt 0.5000 0.5000 0.0000
Pt 0.5000 0.5000 0.2547
Pt 0.5000 0.5000 0.5000
Pt 0.5000 0.5000 0.7453



(3)
Structure and computed powder diffractogram of ErMg3Pt2 (a crystal structure in Alexandria, relaxed with GGA-PBE; Cu Kα (weighted mean of Kα1 and Kα2)).
Intensities are scaled so that the largest is 100.

Principal peaks in the range 2θ = 10–90°, by intensity:
2θ = 35.45°, d = 2.532 Å, rel. 100; 2θ = 24.79°, d = 3.592 Å, rel. 74; 2θ = 27.43°, d = 3.251 Å, rel. 64; 2θ = 41.25°, d = 2.189 Å, rel. 54; 2θ = 44.49°, d = 2.036 Å, rel. 36; 2θ = 10.57°, d = 8.372 Å, rel. 32; 2θ = 44.34°, d = 2.043 Å, rel. 27; 2θ = 33.21°, d = 2.698 Å, rel. 25; 2θ = 64.62°, d = 1.442 Å, rel. 24; 2θ = 51.46°, d = 1.776 Å, rel. 21; 2θ = 65.95°, d = 1.416 Å, rel. 20; 2θ = 43.23°, d = 2.093 Å, rel. 17

Structural model:
Unit cell a=4.0863 b=8.3717 c=6.9927 alpha=90.00 beta=90.00 gamma=90.00
Sites, in units of the cell vectors:
Er 0.0000 0.0866 0.0000
Er 0.0000 0.9134 0.5000
Mg 0.0000 0.3176 0.6051
Mg 0.0000 0.6824 0.1051
Mg 0.5000 0.2003 0.3293
Mg 0.5000 0.4218 0.9294
Mg 0.5000 0.5782 0.4294
Mg 0.5000 0.7997 0.8293
Pt 0.0000 0.3803 0.2183
Pt 0.0000 0.6197 0.7183
Pt 0.5000 0.1124 0.7071
Pt 0.5000 0.8876 0.2071



(4)
Structure and computed powder diffractogram of Er2MgPt3 (a crystal structure in Alexandria, relaxed with GGA-PBE; Cu Kα (weighted mean of Kα1 and Kα2)).
Intensities are scaled so that the largest is 100.

Principal peaks in the range 2θ = 10–90°, by intensity:
2θ = 32.44°, d = 2.760 Å, rel. 100; 2θ = 46.54°, d = 1.951 Å, rel. 47; 2θ = 31.14°, d = 2.872 Å, rel. 19; 2θ = 42.06°, d = 2.148 Å, rel. 18; 2θ = 54.12°, d = 1.695 Å, rel. 18; 2θ = 77.33°, d = 1.234 Å, rel. 17; 2θ = 45.03°, d = 2.013 Å, rel. 12; 2θ = 80.06°, d = 1.199 Å, rel. 10; 2θ = 75.77°, d = 1.255 Å, rel. 9; 2θ = 67.93°, d = 1.380 Å, rel. 9; 2θ = 63.31°, d = 1.469 Å, rel. 9; 2θ = 70.79°, d = 1.331 Å, rel. 7

Structural model:
Unit cell a=6.4380 b=6.4380 c=6.4380 alpha=141.02 beta=129.27 gamma=65.78
Sites, in units of the cell vectors:
Er 0.1813 0.1813 0.0000
Er 0.8187 0.8187 0.0000
Mg 0.5000 0.5000 0.0000
Pt 0.0000 0.5000 0.5000
Pt 0.3621 0.8621 0.5000
Pt 0.6379 0.1379 0.5000